This entry pairs a crystal structure of DyLuZn2Sn2 with its simulated X-ray powder pattern. Radiation: a wavelength of 1.5418 Å. Structure: a cell relaxed with PBE.
No peak broadening, texture or thermal motion is included.

Atomic structure:
a b c (Å): 4.4782 4.4782 15.6218
angles (deg): 90.00 90.00 120.00
Space group P6_3/mmc (No. 194)
Asymmetric unit:
Dy (0.0000, 0.0000, 0.0000) [2 per cell]
Lu (0.0000, 0.0000, 0.2500) [2 per cell]
Zn (0.3333, 0.6667, 0.1622) [4 per cell]
Sn (0.3333, 0.6667, 0.6143) [4 per cell]

The 10 most intense peaks (10° ≤ 2θ ≤ 90°), most intense first:
two_theta, I/Imax, index
32.5, 100, 1 0 4
40.3, 60, 1 1 0
52.7, 26, 2 0 4
68.4, 24, 2 1 4
63.2, 16, 1 1 8
28.7, 16, 1 0 3
47.0, 13, 1 0 7
73.2, 10, 3 0 0
22.9, 10, 1 0 0
87.0, 7, 2 2 0